# Ac2VGaO6
Simulated powder diffraction line list, Cu Kα, 1.54184 Å. Input: DFT lattice parameters and positions (PBE+U).
Kinematic intensities with the Lorentz-polarization factor, no thermal factor.

Most intense lines, 10° ≤ 2θ ≤ 80°, low angle first:
- (1 1 0), 22.2°, I 26
- (0 0 2), 22.4°, I 13
- (0 2 0), 31.4°, I 21
- (2 0 0), 31.7°, I 100
- (0 2 2), 38.9°, I 14
- (2 0 2), 39.1°, I 14
- (2 2 0), 45.2°, I 23
- (0 0 4), 45.6°, I 11
- (1 3 2), 56.0°, I 17
- (3 1 2), 56.5°, I 24
- (2 0 4), 56.6°, I 8
- (4 0 0), 66.2°, I 18

Structure:
```
data_Ac2VGaO6
_chemical_formula_sum 'Ac4 V2 Ga2 O12'
_cell_length_a 5.6436
_cell_length_b 5.7040
_cell_length_c 7.9522
_cell_angle_alpha 90.00
_cell_angle_beta 90.00
_cell_angle_gamma 90.00
_space_group_name_H-M_alt 'I m m m'
_space_group_IT_number 71
_space_group_name_Hall '-I 2 2'
loop_
_atom_site_label
_atom_site_type_symbol
_atom_site_fract_x
_atom_site_fract_y
_atom_site_fract_z
Ac1 Ac 0.0000 0.0000 0.2504
V1 V 0.0000 0.5000 0.0000
Ga1 Ga 0.0000 0.5000 0.5000
O1 O 0.0000 0.5000 0.2508
O2 O 0.2484 0.2545 0.5000
```